Entry 1:
Tb2HoTm12: simulated X-ray diffraction stick pattern (copper Kα), based on a cell relaxed with PBE.
Lines closer than 0.1° are merged.

Top 10 peaks for 2θ = 10–90°, in order of rising 2θ:
- 2θ 30.56, I 318
- 2θ 32.26, I 875
- 2θ 32.60, I 585
- 2θ 32.74, I 1000
- 2θ 35.74, I 283
- 2θ 45.28, I 218
- 2θ 57.95, I 167
- 2θ 58.26, I 195
- 2θ 62.70, I 338
- 2θ 62.81, I 160

Cell and atoms:
```
data_Tb2HoTm12
_chemical_formula_sum 'Tb2 Ho1 Tm12'
_cell_length_a 23.878
_cell_length_b 23.878
_cell_length_c 3.521
_cell_angle_alpha 94.14
_cell_angle_beta 94.14
_cell_angle_gamma 13.21
_symmetry_space_group_name_H-M 'P 1'
_symmetry_Int_Tables_number 1
loop_
_symmetry_equiv_pos_as_xyz
'x,y,z'
loop_
_atom_site_label
_atom_site_type_symbol
_atom_site_fract_x
_atom_site_fract_y
_atom_site_fract_z
Tb1 Tb 0.138 0.138 0.136
Tb2 Tb 0.862 0.862 0.864
Ho1 Ho 0.000 0.000 0.000
Tm1 Tm 0.071 0.071 0.569
Tm2 Tm 0.201 0.201 0.698
Tm3 Tm 0.271 0.271 0.775
Tm4 Tm 0.338 0.338 0.342
Tm5 Tm 0.405 0.405 0.909
Tm6 Tm 0.467 0.467 0.470
Tm7 Tm 0.533 0.533 0.530
Tm8 Tm 0.595 0.595 0.091
Tm9 Tm 0.662 0.662 0.658
Tm10 Tm 0.729 0.729 0.225
Tm11 Tm 0.799 0.799 0.302
Tm12 Tm 0.929 0.929 0.431
```

=====

Entry 2:
TbHo3Tm4: simulated X-ray diffraction stick pattern (copper Kα), based on a cell relaxed with PBE.
Lines closer than 0.1° are merged.

Top 10 peaks for 2θ = 10–90°, in order of rising 2θ:
- 2θ 28.76, I 240
- 2θ 32.30, I 237
- 2θ 33.08, I 1000
- 2θ 43.79, I 155
- 2θ 50.96, I 199
- 2θ 58.10, I 202
- 2θ 61.64, I 225
- 2θ 62.11, I 165
- 2θ 84.37, I 95
- 2θ 89.37, I 85

Cell and atoms:
```
data_TbHo3Tm4
_chemical_formula_sum 'Tb2 Ho6 Tm8'
_cell_length_a 11.087
_cell_length_b 7.173
_cell_length_c 6.202
_cell_angle_alpha 90.00
_cell_angle_beta 90.00
_cell_angle_gamma 90.00
_symmetry_space_group_name_H-M 'P 1'
_symmetry_Int_Tables_number 1
loop_
_symmetry_equiv_pos_as_xyz
'x,y,z'
loop_
_atom_site_label
_atom_site_type_symbol
_atom_site_fract_x
_atom_site_fract_y
_atom_site_fract_z
Tb1 Tb 0.000 0.126 0.000
Tb2 Tb 0.500 0.874 0.500
Ho1 Ho 0.000 0.874 0.500
Ho2 Ho 0.250 0.126 0.334
Ho3 Ho 0.250 0.874 0.834
Ho4 Ho 0.500 0.126 0.000
Ho5 Ho 0.750 0.126 0.334
Ho6 Ho 0.750 0.874 0.834
Tm1 Tm 0.000 0.376 0.501
Tm2 Tm 0.000 0.624 0.000
Tm3 Tm 0.249 0.624 0.333
Tm4 Tm 0.251 0.376 0.833
Tm5 Tm 0.500 0.376 0.500
Tm6 Tm 0.500 0.624 0.001
Tm7 Tm 0.749 0.376 0.833
Tm8 Tm 0.751 0.624 0.333
```

=====

Entry 3:
Tb2Y2HoTm: simulated X-ray diffraction stick pattern (copper Kα), based on a cell relaxed with PBE.
Lines closer than 0.1° are merged.

Top 10 peaks for 2θ = 10–90°, in order of rising 2θ:
- 2θ 31.56, I 1000
- 2θ 31.94, I 377
- 2θ 32.08, I 715
- 2θ 45.54, I 249
- 2θ 45.68, I 105
- 2θ 56.67, I 124
- 2θ 56.87, I 236
- 2θ 57.01, I 139
- 2θ 62.67, I 317
- 2θ 81.03, I 104

Cell and atoms:
```
data_Tb2Y2HoTm
_chemical_formula_sum 'Tb4 Y4 Ho2 Tm2'
_cell_length_a 6.995
_cell_length_b 5.604
_cell_length_c 9.651
_cell_angle_alpha 90.00
_cell_angle_beta 90.00
_cell_angle_gamma 90.00
_symmetry_space_group_name_H-M 'P 1'
_symmetry_Int_Tables_number 1
loop_
_symmetry_equiv_pos_as_xyz
'x,y,z'
loop_
_atom_site_label
_atom_site_type_symbol
_atom_site_fract_x
_atom_site_fract_y
_atom_site_fract_z
Tb1 Tb 0.250 0.000 0.152
Tb2 Tb 0.250 0.500 0.681
Tb3 Tb 0.750 0.000 0.848
Tb4 Tb 0.750 0.500 0.319
Y1 Y 0.000 0.000 0.500
Y2 Y 0.250 0.500 0.343
Y3 Y 0.500 0.000 0.500
Y4 Y 0.750 0.500 0.657
Ho1 Ho 0.250 0.000 0.822
Ho2 Ho 0.750 0.000 0.178
Tm1 Tm 0.000 0.500 0.000
Tm2 Tm 0.500 0.500 0.000
```

=====

Entry 4:
TbY2Ho2Tm4: simulated X-ray diffraction stick pattern (copper Kα), based on a cell relaxed with PBE.
Lines closer than 0.1° are merged.

Top 10 peaks for 2θ = 10–90°, in order of rising 2θ:
- 2θ 29.81, I 213
- 2θ 31.74, I 306
- 2θ 32.54, I 1000
- 2θ 33.44, I 65
- 2θ 43.99, I 72
- 2θ 44.21, I 73
- 2θ 49.15, I 93
- 2θ 56.98, I 98
- 2θ 57.11, I 100
- 2θ 59.70, I 102

Cell and atoms:
```
data_TbY2Ho2Tm4
_chemical_formula_sum 'Tb1 Y2 Ho2 Tm4'
_cell_length_a 5.994
_cell_length_b 6.637
_cell_length_c 8.478
_cell_angle_alpha 78.69
_cell_angle_beta 69.33
_cell_angle_gamma 63.43
_symmetry_space_group_name_H-M 'P 1'
_symmetry_Int_Tables_number 1
loop_
_symmetry_equiv_pos_as_xyz
'x,y,z'
loop_
_atom_site_label
_atom_site_type_symbol
_atom_site_fract_x
_atom_site_fract_y
_atom_site_fract_z
Tb1 Tb 0.000 0.000 0.000
Y1 Y 0.266 0.669 0.661
Y2 Y 0.734 0.331 0.339
Ho1 Ho 0.182 0.223 0.555
Ho2 Ho 0.818 0.777 0.445
Tm1 Tm 0.269 0.425 0.120
Tm2 Tm 0.387 0.876 0.233
Tm3 Tm 0.613 0.124 0.767
Tm4 Tm 0.731 0.575 0.880
```

=====

Entry 5:
TbYHo5Tm2: simulated X-ray diffraction stick pattern (copper Kα), based on a cell relaxed with PBE.
Lines closer than 0.1° are merged.

Top 10 peaks for 2θ = 10–90°, in order of rising 2θ:
- 2θ 28.37, I 181
- 2θ 30.57, I 398
- 2θ 32.20, I 388
- 2θ 32.61, I 1000
- 2θ 34.24, I 130
- 2θ 43.44, I 115
- 2θ 51.68, I 114
- 2θ 57.67, I 212
- 2θ 60.21, I 148
- 2θ 62.21, I 137

Cell and atoms:
```
data_TbYHo5Tm2
_chemical_formula_sum 'Tb2 Y2 Ho10 Tm4'
_cell_length_a 10.279
_cell_length_b 10.279
_cell_length_c 10.476
_cell_angle_alpha 90.00
_cell_angle_beta 90.00
_cell_angle_gamma 148.62
_symmetry_space_group_name_H-M 'P 1'
_symmetry_Int_Tables_number 1
loop_
_symmetry_equiv_pos_as_xyz
'x,y,z'
loop_
_atom_site_label
_atom_site_type_symbol
_atom_site_fract_x
_atom_site_fract_y
_atom_site_fract_z
Tb1 Tb 0.199 0.801 0.500
Tb2 Tb 0.801 0.199 0.000
Y1 Y 0.413 0.587 0.942
Y2 Y 0.587 0.413 0.442
Ho1 Ho 0.017 0.983 0.512
Ho2 Ho 0.280 0.720 0.797
Ho3 Ho 0.300 0.700 0.197
Ho4 Ho 0.391 0.609 0.512
Ho5 Ho 0.478 0.522 0.226
Ho6 Ho 0.522 0.478 0.726
Ho7 Ho 0.609 0.391 0.012
Ho8 Ho 0.700 0.300 0.697
Ho9 Ho 0.720 0.280 0.297
Ho10 Ho 0.983 0.017 0.012
Tm1 Tm 0.110 0.890 0.226
Tm2 Tm 0.113 0.887 0.805
Tm3 Tm 0.887 0.113 0.305
Tm4 Tm 0.890 0.110 0.726
```

=====

Entry 6:
TbHoU: simulated X-ray diffraction stick pattern (copper Kα), based on a cell relaxed with PBE.
Lines closer than 0.1° are merged.

Top 10 peaks for 2θ = 10–90°, in order of rising 2θ:
- 2θ 10.37, I 129
- 2θ 16.89, I 112
- 2θ 30.81, I 169
- 2θ 31.46, I 128
- 2θ 32.46, I 331
- 2θ 33.05, I 1000
- 2θ 49.26, I 135
- 2θ 58.28, I 202
- 2θ 60.02, I 117
- 2θ 60.24, I 149

Cell and atoms:
```
data_TbHoU
_chemical_formula_sum 'Tb4 Ho4 U4'
_cell_length_a 17.061
_cell_length_b 3.717
_cell_length_c 5.517
_cell_angle_alpha 90.00
_cell_angle_beta 90.00
_cell_angle_gamma 90.00
_symmetry_space_group_name_H-M 'P 1'
_symmetry_Int_Tables_number 1
loop_
_symmetry_equiv_pos_as_xyz
'x,y,z'
loop_
_atom_site_label
_atom_site_type_symbol
_atom_site_fract_x
_atom_site_fract_y
_atom_site_fract_z
Tb1 Tb 0.091 0.250 0.000
Tb2 Tb 0.409 0.750 0.500
Tb3 Tb 0.591 0.250 0.500
Tb4 Tb 0.909 0.750 0.000
Ho1 Ho 0.229 0.250 0.499
Ho2 Ho 0.271 0.750 0.999
Ho3 Ho 0.729 0.250 0.001
Ho4 Ho 0.771 0.750 0.501
U1 U 0.049 0.750 0.500
U2 U 0.451 0.250 0.000
U3 U 0.549 0.750 0.000
U4 U 0.951 0.250 0.500
```